[1]
Theoretical powder diffraction line list
Compound: CsZnP2Se
Radiation: Cu Kα (weighted mean of Kα1 and Kα2)
Structure: a crystal structure in Alexandria, relaxed with GGA-PBE

Lattice parameters (Å, degrees): 5.6460 15.4648 3.6824 90.00 113.71 90.00
Fractional positions:
1 Cs 0.0000 0.0000 0.0000
2 Cs 0.5000 0.5000 0.0000
3 Zn 0.0000 0.2758 0.5000
4 Zn 0.5000 0.7758 0.5000
5 P 0.1211 0.6782 0.3231
6 P 0.3789 0.1782 0.6769
7 P 0.6211 0.1782 0.3231
8 P 0.8789 0.6782 0.6769
9 Se 0.0000 0.3716 0.0000
10 Se 0.5000 0.8716 0.0000

Main lines, low angle first (2θ = 5–70°):
- d = 4.903 Å, I 25
- d = 3.650 Å, I 100
- d = 3.091 Å, I 46
- d = 2.925 Å, I 35
- d = 2.623 Å, I 10
- d = 2.585 Å, I 22
- d = 2.484 Å, I 13
- d = 2.333 Å, I 23
- d = 2.048 Å, I 11
- d = 1.903 Å, I 21
- d = 1.838 Å, I 15
- d = 1.757 Å, I 10



[2]
Theoretical powder diffraction line list
Compound: HoThTe6
Radiation: Cu Kα (weighted mean of Kα1 and Kα2)
Structure: a crystal structure in Alexandria, relaxed with GGA-PBE

Lattice parameters (Å, degrees): 4.4404 4.4368 26.5536 90.00 90.00 90.00
Fractional positions:
1 Ho 0.0000 0.0000 0.0000
2 Ho 0.0000 0.5000 0.5000
3 Th 0.5000 0.0000 0.3398
4 Th 0.5000 0.5000 0.8398
5 Te 0.0000 0.0000 0.2493
6 Te 0.0000 0.0000 0.5887
7 Te 0.0000 0.0000 0.8777
8 Te 0.0000 0.5000 0.0887
9 Te 0.0000 0.5000 0.3777
10 Te 0.0000 0.5000 0.7493
11 Te 0.5000 0.0000 0.0887
12 Te 0.5000 0.0000 0.4621
13 Te 0.5000 0.0000 0.7493
14 Te 0.5000 0.5000 0.2493
15 Te 0.5000 0.5000 0.5887
16 Te 0.5000 0.5000 0.9621

Main lines, low angle first (2θ = 5–70°):
- d = 13.277 Å, I 39
- d = 6.638 Å, I 24
- d = 3.319 Å, I 33
- d = 3.117 Å, I 27
- d = 2.958 Å, I 100
- d = 2.702 Å, I 47
- d = 2.658 Å, I 23
- d = 2.418 Å, I 45
- d = 2.219 Å, I 59
- d = 1.845 Å, I 25
- d = 1.569 Å, I 26
- d = 1.386 Å, I 19



[3]
Theoretical powder diffraction line list
Compound: DyFe2Co9
Radiation: Cu Kα (weighted mean of Kα1 and Kα2)
Structure: a crystal structure in Alexandria, relaxed with GGA-PBE

Lattice parameters (Å, degrees): 8.0131 8.0131 4.6774 90.00 90.00 90.00
Fractional positions:
1 Dy 0.0000 0.0000 0.0000
2 Dy 0.5000 0.5000 0.0000
3 Fe 0.1154 0.3846 0.0000
4 Fe 0.3846 0.8846 0.0000
5 Fe 0.6154 0.1154 0.0000
6 Fe 0.8846 0.6154 0.0000
7 Co 0.0000 0.5000 0.5000
8 Co 0.0651 0.2134 0.5000
9 Co 0.1788 0.6788 0.2348
10 Co 0.1788 0.6788 0.7652
11 Co 0.2134 0.9349 0.5000
12 Co 0.2866 0.4349 0.5000
13 Co 0.3212 0.1788 0.2348
14 Co 0.3212 0.1788 0.7652
15 Co 0.4349 0.7134 0.5000
16 Co 0.5000 0.0000 0.5000
17 Co 0.5651 0.2866 0.5000
18 Co 0.6788 0.8212 0.2348
19 Co 0.6788 0.8212 0.7652
20 Co 0.7134 0.5651 0.5000
21 Co 0.7866 0.0651 0.5000
22 Co 0.8212 0.3212 0.2348
23 Co 0.8212 0.3212 0.7652
24 Co 0.9349 0.7866 0.5000

Main lines, low angle first (2θ = 5–70°):
- d = 3.607 Å, I 15
- d = 3.043 Å, I 15
- d = 2.833 Å, I 12
- d = 2.534 Å, I 22
- d = 2.423 Å, I 37
- d = 2.339 Å, I 14
- d = 2.228 Å, I 100
- d = 2.020 Å, I 41
- d = 2.007 Å, I 32
- d = 1.959 Å, I 55
- d = 1.943 Å, I 42
- d = 1.792 Å, I 25



[4]
Theoretical powder diffraction line list
Compound: LiLa2AgPt
Radiation: Cu Kα (weighted mean of Kα1 and Kα2)
Structure: a crystal structure in Alexandria, relaxed with GGA-PBE

Lattice parameters (Å, degrees): 7.6053 4.5090 7.9813 90.00 109.65 90.00
Fractional positions:
1 Li 0.1523 0.2500 0.0577
2 Li 0.8477 0.7500 0.9423
3 La 0.1520 0.7500 0.3927
4 La 0.4598 0.2500 0.7854
5 La 0.5402 0.7500 0.2146
6 La 0.8480 0.2500 0.6073
7 Ag 0.1655 0.7500 0.8337
8 Ag 0.8345 0.2500 0.1663
9 Pt 0.4030 0.2500 0.3833
10 Pt 0.5970 0.7500 0.6167

Main lines, low angle first (2θ = 5–70°):
- d = 7.517 Å, I 57
- d = 7.162 Å, I 47
- d = 3.913 Å, I 26
- d = 2.955 Å, I 59
- d = 2.945 Å, I 43
- d = 2.888 Å, I 35
- d = 2.804 Å, I 100
- d = 2.599 Å, I 28
- d = 2.466 Å, I 39
- d = 2.291 Å, I 40
- d = 2.255 Å, I 42
- d = 1.790 Å, I 24



[5]
Theoretical powder diffraction line list
Compound: As2PPd5
Radiation: Cu Kα (weighted mean of Kα1 and Kα2)
Structure: a crystal structure in Alexandria, relaxed with GGA-PBE

Lattice parameters (Å, degrees): 6.7593 4.1976 19.8026 90.00 90.00 90.00
Fractional positions:
1 As 0.1047 0.2500 0.0862
2 As 0.1293 0.2500 0.7477
3 As 0.3707 0.7500 0.2477
4 As 0.3953 0.7500 0.5862
5 As 0.6047 0.2500 0.4138
6 As 0.6293 0.2500 0.7523
7 As 0.8707 0.7500 0.2523
8 As 0.8953 0.7500 0.9138
9 P 0.1231 0.2500 0.4191
10 P 0.3769 0.7500 0.9191
11 P 0.6231 0.2500 0.0809
12 P 0.8769 0.7500 0.5809
13 Pd 0.0952 0.7500 0.6747
14 Pd 0.1055 0.7500 0.4734
15 Pd 0.1115 0.7500 0.1582
16 Pd 0.1460 0.7500 0.0147
17 Pd 0.1783 0.7500 0.8202
18 Pd 0.3217 0.2500 0.3202
19 Pd 0.3540 0.2500 0.5147
20 Pd 0.3885 0.2500 0.6582
21 Pd 0.3945 0.2500 0.9734
22 Pd 0.4048 0.2500 0.1747
23 Pd 0.5952 0.7500 0.8253
24 Pd 0.6055 0.7500 0.0266
25 Pd 0.6115 0.7500 0.3418
26 Pd 0.6460 0.7500 0.4853
27 Pd 0.6783 0.7500 0.6798
28 Pd 0.8217 0.2500 0.1798
29 Pd 0.8540 0.2500 0.9853
30 Pd 0.8885 0.2500 0.8418
31 Pd 0.8945 0.2500 0.5266
32 Pd 0.9048 0.2500 0.3253

Main lines, low angle first (2θ = 5–70°):
- d = 3.300 Å, I 19
- d = 3.008 Å, I 41
- d = 2.893 Å, I 18
- d = 2.881 Å, I 14
- d = 2.650 Å, I 8
- d = 2.632 Å, I 29
- d = 2.197 Å, I 8
- d = 2.099 Å, I 39
- d = 2.058 Å, I 100
- d = 1.949 Å, I 35
- d = 1.721 Å, I 16
- d = 1.690 Å, I 12



[6]
Theoretical powder diffraction line list
Compound: ZnPtPbO6
Radiation: Cu Kα (weighted mean of Kα1 and Kα2)
Structure: a crystal structure in Alexandria, relaxed with GGA-PBE

Lattice parameters (Å, degrees): 5.4644 5.4644 8.5948 90.00 90.00 120.00
Fractional positions:
1 Zn 0.0000 0.0000 0.0000
2 Zn 0.0000 0.0000 0.5000
3 Pt 0.3333 0.6667 0.2500
4 Pt 0.6667 0.3333 0.7500
5 Pb 0.3333 0.6667 0.7500
6 Pb 0.6667 0.3333 0.2500
7 O 0.0322 0.3627 0.1226
8 O 0.0322 0.6696 0.3774
9 O 0.3304 0.3627 0.3774
10 O 0.3304 0.9678 0.1226
11 O 0.3627 0.0322 0.6226
12 O 0.3627 0.3304 0.8774
13 O 0.6373 0.6696 0.1226
14 O 0.6373 0.9678 0.3774
15 O 0.6696 0.0322 0.8774
16 O 0.6696 0.6373 0.6226
17 O 0.9678 0.3304 0.6226
18 O 0.9678 0.6373 0.8774

Main lines, low angle first (2θ = 5–70°):
- d = 4.732 Å, I 31
- d = 4.297 Å, I 49
- d = 3.181 Å, I 100
- d = 2.732 Å, I 81
- d = 2.306 Å, I 65
- d = 2.149 Å, I 11
- d = 2.073 Å, I 31
- d = 1.689 Å, I 58
- d = 1.651 Å, I 30
- d = 1.577 Å, I 26
- d = 1.481 Å, I 16
- d = 1.366 Å, I 11



[7]
Theoretical powder diffraction line list
Compound: SrCuAsS4
Radiation: Cu Kα (weighted mean of Kα1 and Kα2)
Structure: a crystal structure in Alexandria, relaxed with GGA-PBE

Lattice parameters (Å, degrees): 6.6661 6.6661 8.1774 90.00 90.00 90.00
Fractional positions:
1 Sr 0.0000 0.0000 0.0000
2 Sr 0.5000 0.5000 0.5000
3 Cu 0.0000 0.0000 0.5000
4 Cu 0.5000 0.5000 0.0000
5 As 0.0000 0.5000 0.7500
6 As 0.5000 0.0000 0.2500
7 S 0.1676 0.2475 0.6346
8 S 0.2475 0.8324 0.3654
9 S 0.2525 0.6676 0.8654
10 S 0.3324 0.2525 0.1346
11 S 0.6676 0.7475 0.1346
12 S 0.7475 0.3324 0.8654
13 S 0.7525 0.1676 0.3654
14 S 0.8324 0.7525 0.6346

Main lines, low angle first (2θ = 5–70°):
- d = 5.167 Å, I 56
- d = 4.714 Å, I 13
- d = 3.333 Å, I 15
- d = 3.089 Å, I 100
- d = 2.801 Å, I 17
- d = 2.583 Å, I 8
- d = 2.357 Å, I 31
- d = 2.012 Å, I 10
- d = 1.874 Å, I 41
- d = 1.803 Å, I 11
- d = 1.743 Å, I 28
- d = 1.467 Å, I 11



[8]
Theoretical powder diffraction line list
Compound: TbZn5Au6
Radiation: Cu Kα (weighted mean of Kα1 and Kα2)
Structure: a crystal structure in Alexandria, relaxed with GGA-PBE

Lattice parameters (Å, degrees): 7.2986 7.2986 6.5951 90.00 90.00 142.99
Fractional positions:
1 Tb 0.0000 0.0000 0.0000
2 Zn 0.0000 0.0000 0.5000
3 Zn 0.3382 0.6618 0.0000
4 Zn 0.3389 0.6611 0.5000
5 Zn 0.6611 0.3389 0.5000
6 Zn 0.6618 0.3382 0.0000
7 Au 0.1778 0.8222 0.2589
8 Au 0.1778 0.8222 0.7411
9 Au 0.5000 0.5000 0.2735
10 Au 0.5000 0.5000 0.7265
11 Au 0.8222 0.1778 0.2589
12 Au 0.8222 0.1778 0.7411

Main lines, low angle first (2θ = 5–70°):
- d = 3.298 Å, I 8
- d = 3.269 Å, I 15
- d = 2.929 Å, I 2
- d = 2.321 Å, I 100
- d = 2.307 Å, I 19
- d = 1.896 Å, I 3
- d = 1.890 Å, I 3
- d = 1.649 Å, I 7
- d = 1.635 Å, I 13
- d = 1.593 Å, I 2
- d = 1.472 Å, I 2
- d = 1.465 Å, I 4



[9]
Theoretical powder diffraction line list
Compound: PmNd6Sc2
Radiation: Cu Kα (weighted mean of Kα1 and Kα2)
Structure: a crystal structure in Alexandria, relaxed with GGA-PBE

Lattice parameters (Å, degrees): 7.3826 7.3826 12.0192 108.18 108.18 87.20
Fractional positions:
1 Pm 0.2046 0.7954 0.7500
2 Pm 0.7954 0.2046 0.2500
3 Nd 0.0997 0.8770 0.1047
4 Nd 0.1230 0.9003 0.3953
5 Nd 0.1948 0.4794 0.4343
6 Nd 0.2887 0.3715 0.1536
7 Nd 0.3715 0.2887 0.6536
8 Nd 0.4794 0.1948 0.9343
9 Nd 0.5206 0.8052 0.0657
10 Nd 0.6285 0.7113 0.3464
11 Nd 0.7113 0.6285 0.8464
12 Nd 0.8052 0.5206 0.5657
13 Nd 0.8770 0.0997 0.6047
14 Nd 0.9003 0.1230 0.8953
15 Sc 0.1343 0.4716 0.8689
16 Sc 0.4716 0.1343 0.3689
17 Sc 0.5284 0.8657 0.6311
18 Sc 0.8657 0.5284 0.1311

Main lines, low angle first (2θ = 5–70°):
- d = 3.687 Å, I 29
- d = 3.198 Å, I 34
- d = 3.067 Å, I 100
- d = 3.034 Å, I 78
- d = 2.974 Å, I 19
- d = 2.948 Å, I 63
- d = 2.868 Å, I 54
- d = 2.640 Å, I 22
- d = 2.596 Å, I 31
- d = 2.367 Å, I 20
- d = 2.244 Å, I 20
- d = 1.609 Å, I 30